(1)
Diffraction record for Bi2SCl. The powder diffraction line list is theoretical, not measured: it uses a structure optimized by DFT (PBE) and copper Kα.

Main lines, most intense first (5° ≤ 2θ ≤ 70°):
2θ/deg	intensity
30.0	100
18.0	65
23.5	57
25.7	49
21.2	47
35.9	44
35.1	39
12.8	26
43.6	22
18.5	20

```
Bi2SCl
1.0
6.230 0.000 0.000
1.648 6.022 0.000
1.487 1.149 6.935
Bi S Cl
4 2 2
Direct
0.000 0.000 0.000
0.172 0.172 0.574
0.406 0.558 0.589
0.614 0.765 0.986
0.700 0.472 0.287
0.758 0.414 0.787
0.201 0.542 0.023
0.630 0.970 0.552
```


(2)
Diffraction record for Ac4Nd2Sn3O2. The powder diffraction line list is theoretical, not measured: it uses a structure optimized by DFT (PBE) and copper Kα.

Main lines, most intense first (5° ≤ 2θ ≤ 70°):
2θ/deg	intensity
32.0	100
35.4	56
25.7	48
61.4	42
28.2	28
50.9	20
49.6	18
6.6	14
48.2	14
13.3	14

```
Ac4Nd2Sn3O2
1.0
-2.539 2.539 13.330
2.539 -2.539 13.330
2.539 2.539 -13.330
Ac Nd Sn O
4 2 3 2
Direct
0.085 0.585 0.500
0.415 0.915 0.500
0.585 0.085 0.500
0.915 0.415 0.500
0.198 0.198 0.000
0.802 0.802 0.000
0.320 0.320 0.000
0.500 0.500 0.000
0.680 0.680 0.000
0.107 0.107 0.000
0.893 0.893 0.000
```


(3)
Diffraction record for Dy8Ho4Tm3. The powder diffraction line list is theoretical, not measured: it uses a structure optimized by DFT (PBE) and copper Kα.

Main lines, most intense first (5° ≤ 2θ ≤ 70°):
2θ/deg	intensity
31.8	100
36.6	73
30.7	57
62.9	45
53.4	37
30.2	28
52.0	23
27.1	18
61.6	16
63.6	14

```
Dy8Ho4Tm3
1.0
3.429 1.980 11.643
-3.429 1.980 11.643
0.000 -3.959 11.643
Dy Ho Tm
8 4 3
Direct
0.245 0.245 0.245
0.248 0.750 0.750
0.250 0.250 0.752
0.250 0.752 0.250
0.750 0.248 0.750
0.750 0.750 0.248
0.752 0.250 0.250
0.755 0.755 0.755
0.000 0.000 0.000
0.336 0.336 0.336
0.500 0.500 0.500
0.664 0.664 0.664
0.000 0.000 0.500
0.000 0.500 0.000
0.500 0.000 0.000
```


(4)
Diffraction record for Er2P4Rh3. The powder diffraction line list is theoretical, not measured: it uses a structure optimized by DFT (PBE) and copper Kα.

Main lines, most intense first (5° ≤ 2θ ≤ 70°):
2θ/deg	intensity
41.2	100
37.5	97
39.8	83
37.0	47
27.9	45
27.6	42
35.3	42
64.7	27
34.7	24
61.0	23

```
Er2P4Rh3
1.0
2.774 -7.159 0.000
2.774 7.159 0.000
0.000 0.000 7.157
Er P Rh
4 8 6
Direct
0.111 0.889 0.917
0.389 0.611 0.417
0.611 0.389 0.583
0.889 0.111 0.083
0.185 0.815 0.538
0.198 0.302 0.750
0.302 0.198 0.250
0.315 0.685 0.038
0.685 0.315 0.962
0.698 0.802 0.750
0.802 0.698 0.250
0.815 0.185 0.462
0.000 0.000 0.500
0.032 0.468 0.750
0.468 0.032 0.250
0.500 0.500 0.000
0.532 0.968 0.750
0.968 0.532 0.250
```


(5)
Diffraction record for La2DyHoHg2. The powder diffraction line list is theoretical, not measured: it uses a structure optimized by DFT (PBE) and copper Kα.

Main lines, most intense first (5° ≤ 2θ ≤ 70°):
2θ/deg	intensity
31.8	100
32.8	90
34.6	58
31.1	30
28.2	29
30.3	23
41.6	23
47.2	19
60.3	16
60.9	15

```
La2DyHoHg2
1.0
5.182 0.000 0.000
0.000 9.648 0.000
0.000 0.000 7.164
La Dy Ho Hg
4 2 2 4
Direct
0.000 0.055 0.000
0.000 0.945 0.500
0.500 0.172 0.309
0.500 0.828 0.809
0.500 0.447 0.970
0.500 0.553 0.470
0.000 0.330 0.656
0.000 0.670 0.156
0.000 0.365 0.224
0.000 0.635 0.724
0.500 0.165 0.752
0.500 0.835 0.252
```


(6)
Diffraction record for BaH2Br4. The powder diffraction line list is theoretical, not measured: it uses a structure optimized by DFT (PBE) and copper Kα.

Main lines, most intense first (5° ≤ 2θ ≤ 70°):
2θ/deg	intensity
26.5	100
25.5	88
13.1	65
24.0	64
34.7	61
39.3	50
22.4	38
49.1	30
20.4	26
41.3	25

```
BaH2Br4
1.0
0.000 8.079 4.375
6.967 0.000 4.375
6.967 8.079 0.000
Ba H Br
2 4 8
Direct
0.000 0.000 0.000
0.250 0.250 0.250
0.038 0.515 0.928
0.322 0.731 0.212
0.515 0.038 0.519
0.731 0.322 0.735
0.003 0.543 0.127
0.062 0.499 0.781
0.123 0.923 0.247
0.469 0.591 0.188
0.499 0.062 0.659
0.543 0.003 0.327
0.591 0.469 0.751
0.923 0.123 0.707
```


(7)
Diffraction record for TbBi2O6. The powder diffraction line list is theoretical, not measured: it uses a structure optimized by DFT (PBE) and copper Kα.

Main lines, most intense first (5° ≤ 2θ ≤ 70°):
2θ/deg	intensity
28.4	100
47.3	34
56.2	31
33.0	23
47.4	17
56.0	15
32.9	11
58.8	10
69.2	5
68.9	3

```
TbBi2O6
1.0
-1.919 1.919 8.179
1.919 -1.919 8.179
1.919 1.919 -8.179
Tb Bi O
1 2 6
Direct
0.000 0.000 0.000
0.338 0.338 0.000
0.662 0.662 0.000
0.086 0.586 0.500
0.250 0.750 0.500
0.414 0.914 0.500
0.586 0.086 0.500
0.750 0.250 0.500
0.914 0.414 0.500
```


(8)
Diffraction record for Th6N5. The powder diffraction line list is theoretical, not measured: it uses a structure optimized by DFT (PBE) and copper Kα.

Main lines, most intense first (5° ≤ 2θ ≤ 70°):
2θ/deg	intensity
29.9	100
49.8	45
34.7	42
59.3	31
34.6	21
62.1	16
59.1	16

```
Th6N5
1.0
3.173 -5.485 0.000
3.173 5.485 0.000
-2.134 0.000 5.975
Th N
6 5
Direct
0.076 0.416 0.747
0.244 0.244 0.256
0.416 0.076 0.747
0.584 0.924 0.253
0.756 0.756 0.744
0.924 0.584 0.253
0.000 0.000 0.500
0.167 0.833 0.000
0.333 0.667 0.500
0.667 0.333 0.500
0.833 0.167 0.000
```


(9)
Diffraction record for AcPt2Pb. The powder diffraction line list is theoretical, not measured: it uses a structure optimized by DFT (PBE) and copper Kα.

Main lines, most intense first (5° ≤ 2θ ≤ 70°):
2θ/deg	intensity
38.4	100
38.1	96
31.0	94
34.6	83
41.6	62
40.8	62
11.5	61
57.7	59
27.9	47
36.5	43

```
AcPt2Pb
1.0
5.974 0.000 0.000
0.000 4.342 0.000
0.000 0.000 7.707
Ac Pt Pb
2 4 2
Direct
0.250 0.000 0.242
0.750 0.000 0.758
0.000 0.500 0.000
0.250 0.000 0.848
0.500 0.500 0.000
0.750 0.000 0.152
0.250 0.500 0.625
0.750 0.500 0.375
```


(10)
Diffraction record for SrCd2P2Pt7. The powder diffraction line list is theoretical, not measured: it uses a structure optimized by DFT (PBE) and copper Kα.

Main lines, most intense first (5° ≤ 2θ ≤ 70°):
2θ/deg	intensity
32.1	100
35.9	80
37.0	73
34.9	71
34.0	58
45.1	47
45.2	42
50.7	33
6.3	29
19.1	27

```
SrCd2P2Pt7
1.0
2.850 -2.845 0.000
2.850 2.845 0.000
-1.897 0.000 13.948
Sr Cd P Pt
1 2 2 7
Direct
0.000 0.000 0.000
0.096 0.096 0.403
0.904 0.904 0.597
0.419 0.419 0.744
0.581 0.581 0.256
0.053 0.555 0.168
0.401 0.401 0.583
0.445 0.947 0.832
0.500 0.500 0.000
0.555 0.053 0.168
0.599 0.599 0.417
0.947 0.445 0.832
```


(11)
Diffraction record for Pm6Ru2Pb3. The powder diffraction line list is theoretical, not measured: it uses a structure optimized by DFT (PBE) and copper Kα.

Main lines, most intense first (5° ≤ 2θ ≤ 70°):
2θ/deg	intensity
32.8	100
34.5	83
60.8	35
49.6	30
45.8	22
30.8	22
28.3	22
25.3	20
24.2	19
29.1	19

```
Pm6Ru2Pb3
1.0
-2.597 2.597 12.259
2.597 -2.597 12.259
2.597 2.597 -12.259
Pm Ru Pb
6 2 3
Direct
0.084 0.584 0.500
0.192 0.192 0.000
0.416 0.916 0.500
0.584 0.084 0.500
0.808 0.808 0.000
0.916 0.416 0.500
0.056 0.056 0.000
0.944 0.944 0.000
0.322 0.322 0.000
0.500 0.500 0.000
0.678 0.678 0.000
```